Theoretical powder diffractogram of LiMn2C4O12 for Cu Kα (weighted mean of Kα1 and Kα2), from a DFT-relaxed cell (PBE+U, the Materials Project).

Crystal structure
```
data_LiMn2C4O12
_chemical_formula_sum 'Li1 Mn2 C4 O12'
_cell_length_a 5.214
_cell_length_b 6.691
_cell_length_c 7.584
_cell_angle_alpha 88.27
_cell_angle_beta 89.85
_cell_angle_gamma 67.92
_symmetry_space_group_name_H-M 'P 1'
_symmetry_Int_Tables_number 1
loop_
_symmetry_equiv_pos_as_xyz
'x,y,z'
loop_
_atom_site_label
_atom_site_fract_x
_atom_site_fract_y
_atom_site_fract_z
_atom_site_occupancy
Li1 0.000 0.000 0.000 1
Mn1 0.212 0.172 0.440 1
Mn2 0.711 0.652 0.944 1
C1 0.442 0.813 0.681 1
C2 0.481 0.048 0.179 1
C3 0.968 0.284 0.705 1
C4 0.979 0.537 0.210 1
O1 0.076 0.612 0.077 1
O2 0.124 0.463 0.351 1
O3 0.217 0.071 0.190 1
O4 0.227 0.262 0.681 1
O5 0.312 0.880 0.534 1
O6 0.318 0.791 0.826 1
O7 0.576 0.094 0.324 1
O8 0.624 0.989 0.042 1
O9 0.709 0.752 0.695 1
O10 0.728 0.544 0.191 1
O11 0.852 0.250 0.563 1
O12 0.852 0.323 0.854 1
```

Main lines, low angle first (15 to 90 degrees two-theta):
index	2θ (°)	Rel. int.
0 1 1	18.20	46
1 1 0	18.56	100
0 1 -1	18.78	37
1 0 -1	21.72	27
1 0 1	21.88	39
0 2 1	30.83	21
0 2 -1	31.53	18
1 3 0	40.50	17